# 1
For Y3HfPb2C2, a DFT-relaxed cell (PBE, OQMD) gives the simulated X-ray diffraction stick pattern in this record (Cu Kα).

Crystal structure
```
Y3HfPb2C2
1.0
3.560 0.000 0.000
-1.780 3.083 0.000
0.000 0.000 15.816
Y Hf Pb C
3 1 2 2
Direct
0.000 0.000 0.000
0.000 0.000 0.339
0.667 0.333 0.830
0.667 0.333 0.499
0.000 0.000 0.657
0.667 0.333 0.171
0.333 0.667 0.433
0.333 0.667 0.914
```

Most intense lines, 2θ = 10–90°, in order of rising 2θ:
2θ = 29.0°, I = 23
2θ = 33.7°, I = 100
2θ = 34.0°, I = 20
2θ = 51.3°, I = 21
2θ = 60.7°, I = 17
2θ = 63.0°, I = 20

# 2
For Hf2Zr4C3S3, a DFT-relaxed cell (PBE, OQMD) gives the simulated X-ray diffraction stick pattern in this record (Cu Kα).

Crystal structure
```
Hf2Zr4C3S3
1.0
5.120 -2.956 0.000
5.120 2.956 0.000
-3.413 0.000 12.188
Hf Zr C S
4 8 6 6
Direct
0.033 0.866 0.599
0.134 0.967 0.901
0.866 0.033 0.099
0.967 0.134 0.401
0.200 0.368 0.101
0.300 0.466 0.399
0.368 0.200 0.601
0.466 0.300 0.899
0.534 0.700 0.101
0.632 0.800 0.399
0.700 0.534 0.601
0.800 0.632 0.899
0.000 0.500 0.500
0.163 0.673 0.000
0.327 0.837 0.500
0.500 0.000 0.000
0.673 0.163 0.500
0.837 0.327 0.000
0.084 0.244 0.750
0.244 0.084 0.250
0.411 0.589 0.750
0.589 0.411 0.250
0.756 0.916 0.750
0.916 0.756 0.250
```

Most intense lines, 2θ = 10–90°, in order of rising 2θ:
2θ = 29.3°, I = 14
2θ = 30.2°, I = 28
2θ = 31.1°, I = 29
2θ = 37.6°, I = 100
2θ = 53.7°, I = 27
2θ = 67.4°, I = 17

# 3
For Hf4Sc2Sb3C3, a DFT-relaxed cell (PBE, OQMD) gives the simulated X-ray diffraction stick pattern in this record (Cu Kα).

Crystal structure
```
Hf4Sc2Sb3C3
1.0
5.094 -2.941 0.000
5.094 2.941 0.000
-3.397 0.000 14.091
Hf Sc Sb C
8 4 6 6
Direct
0.023 0.199 0.084
0.143 0.305 0.416
0.199 0.023 0.584
0.305 0.143 0.916
0.695 0.857 0.084
0.801 0.977 0.416
0.857 0.695 0.584
0.977 0.801 0.916
0.366 0.529 0.087
0.471 0.634 0.413
0.529 0.366 0.587
0.634 0.471 0.913
0.081 0.919 0.250
0.250 0.415 0.749
0.415 0.250 0.249
0.585 0.750 0.751
0.750 0.585 0.251
0.919 0.081 0.750
0.000 0.500 0.000
0.158 0.671 0.500
0.329 0.842 0.000
0.500 0.000 0.500
0.671 0.158 0.000
0.842 0.329 0.500
```

Most intense lines, 2θ = 10–90°, in order of rising 2θ:
2θ = 30.4°, I = 23
2θ = 36.0°, I = 100
2θ = 38.3°, I = 19
2θ = 54.0°, I = 22
2θ = 66.6°, I = 16
2θ = 68.1°, I = 20

# 4
For Hf2Ta4Sb3C3, a DFT-relaxed cell (PBE, OQMD) gives the simulated X-ray diffraction stick pattern in this record (Cu Kα).

Crystal structure
```
Hf2Ta4Sb3C3
1.0
5.103 -2.952 0.000
5.103 2.952 0.000
-3.398 0.000 13.104
Hf Ta Sb C
4 8 6 6
Direct
0.030 0.865 0.591
0.135 0.970 0.909
0.865 0.030 0.091
0.970 0.135 0.409
0.194 0.358 0.081
0.304 0.475 0.419
0.358 0.194 0.581
0.475 0.304 0.919
0.525 0.696 0.081
0.642 0.806 0.419
0.696 0.525 0.581
0.806 0.642 0.919
0.084 0.262 0.750
0.262 0.084 0.250
0.429 0.571 0.750
0.571 0.429 0.250
0.738 0.916 0.750
0.916 0.738 0.250
0.000 0.500 0.500
0.167 0.667 0.000
0.333 0.833 0.500
0.500 0.000 0.000
0.667 0.167 0.500
0.833 0.333 0.000
```

Most intense lines, 2θ = 10–90°, in order of rising 2θ:
2θ = 30.3°, I = 25
2θ = 36.8°, I = 100
2θ = 41.3°, I = 15
2θ = 52.1°, I = 13
2θ = 53.8°, I = 23
2θ = 72.4°, I = 13

# 5
For HfZrSbC, a DFT-relaxed cell (PBE, OQMD) gives the simulated X-ray diffraction stick pattern in this record (Cu Kα).

Crystal structure
```
HfZrSbC
1.0
3.431 0.000 0.000
-1.716 2.972 0.000
0.000 0.000 13.973
Hf Zr Sb C
2 2 2 2
Direct
0.000 0.000 0.162
0.000 0.000 0.838
0.667 0.333 0.336
0.667 0.333 0.664
0.000 0.000 0.500
0.667 0.333 0.000
0.333 0.667 0.245
0.333 0.667 0.755
```

Most intense lines, 2θ = 10–90°, in order of rising 2θ:
2θ = 30.1°, I = 27
2θ = 35.8°, I = 100
2θ = 38.7°, I = 17
2θ = 53.4°, I = 22
2θ = 66.0°, I = 17
2θ = 67.9°, I = 19

# 6
For HfZrSbC, a DFT-relaxed cell (PBE, OQMD) gives the simulated X-ray diffraction stick pattern in this record (Cu Kα).

Crystal structure
```
HfZrSbC
1.0
3.429 0.000 0.000
-1.714 2.969 0.000
0.000 0.000 13.985
Hf Zr Sb C
2 2 2 2
Direct
0.333 0.667 0.000
0.667 0.333 0.500
0.333 0.667 0.326
0.667 0.333 0.826
0.333 0.667 0.662
0.667 0.333 0.162
0.000 0.000 0.417
0.000 0.000 0.917
```

Most intense lines, 2θ = 10–90°, in order of rising 2θ:
2θ = 30.1°, I = 24
2θ = 35.9°, I = 100
2θ = 38.6°, I = 17
2θ = 53.4°, I = 22
2θ = 66.0°, I = 17
2θ = 67.9°, I = 19

# 7
For HfSc3C2Se2, a DFT-relaxed cell (PBE, OQMD) gives the simulated X-ray diffraction stick pattern in this record (Cu Kα).

Crystal structure
```
HfSc3C2Se2
1.0
3.485 0.000 0.000
-1.743 3.018 0.000
0.000 0.000 12.383
Hf Sc C Se
1 3 2 2
Direct
0.000 0.000 0.000
0.000 0.000 0.309
0.333 0.667 0.503
0.333 0.667 0.804
0.667 0.333 0.403
0.667 0.333 0.909
0.000 0.000 0.655
0.333 0.667 0.152
```

Most intense lines, 2θ = 10–90°, in order of rising 2θ:
2θ = 14.3°, I = 16
2θ = 29.6°, I = 32
2θ = 36.9°, I = 100
2θ = 52.5°, I = 26
2θ = 65.9°, I = 17
2θ = 89.0°, I = 16

# 8
For HfScCSe, a DFT-relaxed cell (PBE, OQMD) gives the simulated X-ray diffraction stick pattern in this record (Cu Kα).

Crystal structure
```
HfScCSe
1.0
3.463 0.000 0.000
-1.731 2.999 0.000
0.000 0.000 12.443
Hf Sc C Se
2 2 2 2
Direct
0.000 0.000 0.156
0.000 0.000 0.844
0.333 0.667 0.350
0.333 0.667 0.650
0.667 0.333 0.245
0.667 0.333 0.755
0.000 0.000 0.500
0.333 0.667 0.000
```

Most intense lines, 2θ = 10–90°, in order of rising 2θ:
2θ = 29.8°, I = 41
2θ = 37.0°, I = 100
2θ = 52.9°, I = 24
2θ = 53.7°, I = 17
2θ = 66.3°, I = 18
2θ = 89.7°, I = 17